The following is a simulated powder X-ray diffraction pattern of NbZn15. It was derived from DFT lattice parameters and positions (GGA-PBE), using a wavelength of 1.5418 Å.

```
NbZn15
1.0
5.6689 0.0000 0.0000
-2.8344 4.9094 0.0000
0.0000 0.0000 8.7717
Nb Zn
1 15
Direct
0.0000 0.0000 0.0000 Nb
0.0000 0.0000 0.5000 Zn
0.0006 0.5003 0.5000 Zn
0.3319 0.1660 0.2535 Zn
0.3319 0.1660 0.7465 Zn
0.3333 0.6667 0.2515 Zn
0.3333 0.6667 0.7485 Zn
0.4997 0.5003 0.5000 Zn
0.4997 0.9994 0.5000 Zn
0.5006 0.0012 0.0000 Zn
0.5006 0.4994 0.0000 Zn
0.8340 0.1660 0.2535 Zn
0.8340 0.1660 0.7465 Zn
0.8340 0.6681 0.2535 Zn
0.8340 0.6681 0.7465 Zn
0.9988 0.4994 0.0000 Zn
```

Main lines, by intensity (10° ≤ 2θ ≤ 80°):
d [Å]	2theta	Rel. int.
2.142	42.19	100
2.455	36.61	25
2.193	41.16	24
1.417	65.91	16
1.256	75.72	16
1.635	56.25	14
1.227	77.82	2